Record 1
The following is a calculated powder XRD pattern of RbMgCO3F. It was derived from a structure optimized by DFT (PBE), using CuKα.
No peak broadening, texture or thermal motion is included.

Atomic structure:
```
21
Lattice="9.1338 0.0000 0.0000 -4.5669 7.9101 0.0000 0.0000 0.0000 4.0116" Properties=species:S:1:pos:R:3 pbc="T T T"
Rb -1.7495 3.0303 0.0000
Rb 3.4991 0.0000 0.0000
Rb 2.8174 4.8798 0.0000
Mg -3.2855 5.6907 2.0058
Mg 1.2814 2.2194 2.0058
Mg 6.5711 0.0000 2.0058
C 0.0000 0.0000 2.0058
C 0.0000 5.2734 2.0058
C 4.5669 2.6367 2.0058
O -0.6489 1.1240 2.0058
O 1.2978 0.0000 2.0058
O -1.2892 5.3901 2.0058
O 0.5435 4.0986 2.0058
O 0.7457 6.3316 2.0058
O 3.2777 2.5200 2.0058
O 5.3126 1.5786 2.0058
O 5.1104 3.8116 2.0058
O 3.9180 6.7862 2.0058
F -3.2947 5.7065 0.0000
F 1.2723 2.2036 0.0000
F 6.5893 0.0000 0.0000
```

The 6 most intense peaks (5 to 70 degrees two-theta), by angle:
- 19.4°, 4.567 Å, I 22
- 29.6°, 3.014 Å, I 100
- 34.0°, 2.637 Å, I 29
- 37.5°, 2.397 Å, I 20
- 41.1°, 2.194 Å, I 24
- 45.2°, 2.006 Å, I 17

=====

Record 2
The following is a calculated powder XRD pattern of MgC2S2O2F6. It was derived from a structure optimized by DFT (PBE), using CuKα.
No peak broadening, texture or thermal motion is included.

Atomic structure:
```
26
Lattice="4.6547 0.0000 0.0000 -2.0455 4.1894 0.0000 -2.1412 -1.5483 20.1162" Properties=species:S:1:pos:R:3 pbc="T T T"
Mg 0.0000 0.0000 0.0000
Mg 1.2567 -0.7741 10.0581
C -0.7539 0.0130 6.9953
C -0.2713 2.6838 3.1178
C 0.7392 -0.0427 16.9984
C 1.2218 2.6281 13.1209
S -0.9730 0.3067 8.8187
S -0.1230 2.6821 1.2648
S 0.5909 -0.0410 18.8514
S 1.4409 2.3344 11.2975
O -0.9715 1.8688 8.9407
O -0.8517 -0.6075 19.0693
O 1.3196 3.2486 1.0469
O 1.4395 0.7723 11.1755
F -2.7796 1.6953 13.8362
F -1.5782 2.5889 3.4481
F -0.8903 -0.3342 13.4012
F 0.5509 0.0414 6.6184
F 0.3837 1.6354 3.6734
F 0.2177 -1.1744 16.4810
F 0.2503 3.8155 3.6352
F 0.0842 1.0057 16.4428
F -0.0830 2.5997 13.4978
F 1.3582 2.9753 6.7150
F 2.0461 0.0522 16.6681
F 3.2475 0.9458 6.2800
```

The 6 most intense peaks (5 to 70 degrees two-theta), by angle:
- 22.4°, 3.965 Å, I 78
- 23.7°, 3.753 Å, I 100
- 26.6°, 3.353 Å, I 33
- 26.8°, 3.330 Å, I 63
- 35.6°, 2.520 Å, I 38
- 35.7°, 2.515 Å, I 43